The following is a calculated powder diffraction line list of Yb4MgMnS8. It was derived from a cell relaxed with PBE, using λ = 1.5418 Å (Cu Kα).
Kinematic intensities with the Lorentz-polarization factor, no thermal factor.

The 10 most intense peaks (5 to 70 degrees two-theta), sorted by position:
- 6.351 Å, 2θ = 13.9°, I 76
- 3.317 Å, 2θ = 26.9°, I 100
- 3.176 Å, 2θ = 28.1°, I 31
- 2.750 Å, 2θ = 32.6°, I 72
- 2.524 Å, 2θ = 35.6°, I 24
- 2.117 Å, 2θ = 42.7°, I 39
- 1.945 Å, 2θ = 46.7°, I 72
- 1.859 Å, 2θ = 49.0°, I 20
- 1.588 Å, 2θ = 58.1°, I 18
- 1.432 Å, 2θ = 65.1°, I 24

Structure:
Unit cell a=7.7786 b=7.7786 c=7.7786 alpha=60.00 beta=60.00 gamma=60.00
Atoms (fractional coordinates):
Yb1 0.1240 0.1240 0.1240
Yb2 0.1240 0.1240 0.6279
Yb3 0.1240 0.6279 0.1240
Yb4 0.6279 0.1240 0.1240
Mg1 0.7500 0.7500 0.7500
Mn1 0.5000 0.5000 0.5000
S1 0.3634 0.8789 0.8789
S2 0.3780 0.3780 0.3780
S3 0.3780 0.3780 0.8659
S4 0.3780 0.8659 0.3780
S5 0.8659 0.3780 0.3780
S6 0.8789 0.3634 0.8789
S7 0.8789 0.8789 0.3634
S8 0.8789 0.8789 0.8789